This entry pairs a crystal structure of Sc7Mn6Ge8 with its calculated powder diffractogram. Radiation: Cu Kα X-rays. Structure: DFT lattice parameters and positions (GGA-PBE).

Largest 10 diffraction maxima, by angle, 15° ≤ 2θ ≤ 90°:
2θ (°)  d [Å]  I (rel.)  hkl
36.03  2.493  21  4 0 0
37.76  2.382  94  3 2 3
38.31  2.350  100  3 3 0
40.47  2.229  18  3 3 2
42.04  2.149  29  3 0 5
42.56  2.124  19  2 0 6
49.67  1.836  45  5 0 3
55.29  1.661  29  6 0 0
68.91  1.363  19  3 2 9
77.51  1.232  22  5 0 9

Lattice parameters (Å, degrees): 9.9712 9.9712 14.0863 90.00 90.00 90.00
Space group I4/mmm (No. 139)
One atom of each set of equivalent atoms:
Sc  0.0000  0.0000  0.1583 (multiplicity 4)
Sc  0.0000  0.2525  0.3090 (multiplicity 16)
Sc  0.1779  0.1779  0.5000 (multiplicity 8)
Mn  0.0000  0.3199  0.0943 (multiplicity 16)
Mn  0.1249  0.1249  0.0000 (multiplicity 8)
Ge  0.0000  0.0000  0.3889 (multiplicity 4)
Ge  0.0000  0.3746  0.5000 (multiplicity 8)
Ge  0.0000  0.5000  0.2500 (multiplicity 4)
Ge  0.2037  0.2037  0.1643 (multiplicity 16)

***

This entry pairs a crystal structure of ScMnGe with its calculated powder diffractogram. Radiation: Cu Kα X-rays. Structure: DFT lattice parameters and positions (GGA-PBE).

Largest 10 diffraction maxima, by angle, 15° ≤ 2θ ≤ 90°:
2θ (°)  d [Å]  I (rel.)  hkl
26.90  3.314  27  1 1 0
35.67  2.517  64  1 1 1
39.08  2.305  100  2 0 1
41.62  2.170  39  2 1 0
46.99  1.934  32  0 0 2
47.52  1.914  28  3 0 0
48.08  1.892  58  2 1 1
64.55  1.444  19  2 1 2
69.05  1.360  18  3 0 2
76.39  1.247  22  3 2 1

Lattice parameters (Å, degrees): 6.6287 6.6287 3.8678 90.00 90.00 120.00
Space group P-62m (No. 189)
One atom of each set of equivalent atoms:
Sc  0.0000  0.4140  0.0000 (multiplicity 3)
Mn  0.0000  0.7696  0.5000 (multiplicity 3)
Ge  0.0000  0.0000  0.0000 (multiplicity 1)
Ge  0.3333  0.6667  0.5000 (multiplicity 2)

***

This entry pairs a crystal structure of ScMn6Sn4Ge2 with its calculated powder diffractogram. Radiation: Cu Kα X-rays. Structure: DFT lattice parameters and positions (GGA-PBE).

Largest 10 diffraction maxima, by angle, 15° ≤ 2θ ≤ 90°:
2θ (°)  d [Å]  I (rel.)  hkl
28.43  3.139  27  1 0 2
33.83  2.649  97  1 1 0
36.95  2.433  65  1 0 3
39.27  2.294  36  2 0 0
39.96  2.256  66  1 1 2
44.76  2.025  100  2 0 2
46.64  1.948  44  1 0 4
62.58  1.484  28  2 1 3
71.18  1.325  34  2 2 0
75.35  1.261  35  1 1 6

Lattice parameters (Å, degrees): 5.2989 5.2989 8.6061 90.00 90.00 120.00
Space group P6/mmm (No. 191)
One atom of each set of equivalent atoms:
Sc  0.0000  0.0000  0.0000 (multiplicity 1)
Mn  0.0000  0.5000  0.2316 (multiplicity 6)
Sn  0.0000  0.0000  0.3303 (multiplicity 2)
Sn  0.3333  0.6667  0.5000 (multiplicity 2)
Ge  0.3333  0.6667  0.0000 (multiplicity 2)

***

This entry pairs a crystal structure of Mn2GeSe4 with its calculated powder diffractogram. Radiation: Cu Kα X-rays. Structure: DFT lattice parameters and positions (GGA-PBE).

Largest 10 diffraction maxima, by angle, 15° ≤ 2θ ≤ 90°:
2θ (°)  d [Å]  I (rel.)  hkl
27.20  3.278  23  3 1 1
27.92  3.195  35  0 0 2
30.36  2.944  100  2 2 1
30.47  2.933  52  4 0 1
39.14  2.301  78  2 2 2
47.41  1.918  36  0 4 0
47.65  1.908  60  6 2 0
50.91  1.794  58  2 2 3
57.41  1.605  17  4 4 1
77.87  1.227  16  6 2 4

Lattice parameters (Å, degrees): 13.2013 7.6699 6.4014 90.00 90.00 90.00
Space group Pnma (No. 62)
One atom of each set of equivalent atoms:
Mn  0.0000  0.0000  0.0000 (multiplicity 4)
Mn  0.2335  0.2500  0.4979 (multiplicity 4)
Ge  0.0886  0.7500  0.4156 (multiplicity 4)
Se  0.0776  0.2500  0.7573 (multiplicity 4)
Se  0.0917  0.7500  0.7999 (multiplicity 4)
Se  0.1690  0.5040  0.2366 (multiplicity 8)

***

This entry pairs a crystal structure of Mn10Si3Ge3 with its calculated powder diffractogram. Radiation: Cu Kα X-rays. Structure: DFT lattice parameters and positions (GGA-PBE).

Largest 10 diffraction maxima, by angle, 15° ≤ 2θ ≤ 90°:
2θ (°)  d [Å]  I (rel.)  hkl
18.16  4.885  10  0 0 1
36.80  2.442  18  0 0 2
39.21  2.297  34  2 1 0
39.77  2.266  14  1 0 2
43.53  2.079  100  2 1 1
44.73  2.026  40  3 0 0
45.23  2.005  74  1 1 2
57.86  1.594  13  3 1 1
65.50  1.425  14  2 2 2
70.94  1.328  21  2 1 3

Lattice parameters (Å, degrees): 7.0187 7.0187 4.8850 90.00 90.00 120.00
Space group P-62m (No. 189)
One atom of each set of equivalent atoms:
Mn  0.0000  0.2431  0.0000 (multiplicity 3)
Mn  0.0000  0.7565  0.5000 (multiplicity 3)
Mn  0.3333  0.6667  0.2442 (multiplicity 4)
Si  0.0000  0.6050  0.0000 (multiplicity 3)
Ge  0.0000  0.3982  0.5000 (multiplicity 3)

***

This entry pairs a crystal structure of Mn5Si2Ge with its calculated powder diffractogram. Radiation: Cu Kα X-rays. Structure: DFT lattice parameters and positions (GGA-PBE).

Largest 10 diffraction maxima, by angle, 15° ≤ 2θ ≤ 90°:
2θ (°)  d [Å]  I (rel.)  hkl
37.04  2.427  16  2 0 0
39.49  2.282  36  0 1 3
40.04  2.252  19  2 1 1
43.84  2.065  100  1 5 1
45.05  2.013  44  0 3 3
45.54  1.992  77  2 0 2
58.29  1.583  11  1 2 4
65.99  1.416  15  2 6 2
71.48  1.320  21  3 5 1
73.95  1.282  11  2 4 4

Lattice parameters (Å, degrees): 4.8541 12.0723 6.9729 90.00 90.00 90.00
Space group Amm2 (No. 38)
One atom of each set of equivalent atoms:
Mn  0.0000  0.0000  0.0000 (multiplicity 2)
Mn  0.0000  0.1196  0.3783 (multiplicity 4)
Mn  0.2537  0.1645  0.7496 (multiplicity 8)
Mn  0.5000  0.0000  0.4998 (multiplicity 2)
Mn  0.5000  0.1221  0.1280 (multiplicity 4)
Si  0.0000  0.0000  0.6502 (multiplicity 2)
Si  0.5000  0.0000  0.8550 (multiplicity 2)
Si  0.5000  0.1973  0.4475 (multiplicity 4)
Ge  0.0000  0.1980  0.0542 (multiplicity 4)

***

This entry pairs a crystal structure of YMn2SiGe with its calculated powder diffractogram. Radiation: Cu Kα X-rays. Structure: DFT lattice parameters and positions (GGA-PBE).

Largest 10 diffraction maxima, by angle, 15° ≤ 2θ ≤ 90°:
2θ (°)  d [Å]  I (rel.)  hkl
34.12  2.628  66  1 0 3
36.64  2.452  100  1 1 2
46.49  1.953  49  2 0 0
47.42  1.917  15  1 1 4
48.68  1.870  29  1 0 5
58.91  1.568  26  2 1 3
67.85  1.381  15  2 2 0
69.59  1.351  20  2 1 5
79.67  1.204  18  3 1 2
88.97  1.100  14  2 0 8

Lattice parameters (Å, degrees): 3.9070 3.9070 10.6514 90.00 90.00 90.00
Space group I4mm (No. 107)
One atom of each set of equivalent atoms:
Y  0.0000  0.0000  0.0000 (multiplicity 2)
Mn  0.0000  0.5000  0.2564 (multiplicity 4)
Si  0.0000  0.0000  0.3801 (multiplicity 2)
Ge  0.0000  0.0000  0.6189 (multiplicity 2)

***

This entry pairs a crystal structure of SmMn2Ge2 with its calculated powder diffractogram. Radiation: Cu Kα X-rays. Structure: DFT lattice parameters and positions (GGA-PBE).

Largest 10 diffraction maxima, by angle, 15° ≤ 2θ ≤ 90°:
2θ (°)  d [Å]  I (rel.)  hkl
31.63  2.829  32  1 1 0
33.14  2.704  100  1 0 3
35.69  2.516  94  1 1 2
45.33  2.001  56  2 0 0
47.13  1.928  42  1 0 5
57.29  1.608  41  2 1 3
66.05  1.415  18  2 2 0
67.46  1.388  29  2 1 5
77.40  1.233  18  3 1 2
85.72  1.133  17  2 0 8

Lattice parameters (Å, degrees): 4.0010 4.0010 11.0027 90.00 90.00 90.00
Space group I4/mmm (No. 139)
One atom of each set of equivalent atoms:
Sm  0.0000  0.0000  0.0000 (multiplicity 2)
Mn  0.0000  0.5000  0.2500 (multiplicity 4)
Ge  0.0000  0.0000  0.3782 (multiplicity 4)